Starting from DFT lattice parameters and positions (GGA+U), the X-ray diffraction stick pattern of Li9Mn2Co5O16 was simulated for Cu Kα X-rays.
No peak broadening, texture or thermal motion is included.

Atomic structure:
```
Li9Mn2Co5O16
1.0
10.565 -1.464 0.000
10.565 1.464 0.000
-2.953 0.000 9.337
Li Mn Co O
9 2 5 16
direct
0.000 0.000 0.000
0.061 0.061 0.306
0.186 0.186 0.937
0.313 0.313 0.560
0.441 0.441 0.186
0.559 0.559 0.814
0.687 0.687 0.440
0.814 0.814 0.063
0.939 0.939 0.694
0.380 0.380 0.877
0.620 0.620 0.123
0.125 0.125 0.627
0.250 0.250 0.249
0.500 0.500 0.500
0.750 0.750 0.751
0.875 0.875 0.373
0.030 0.030 0.647
0.098 0.098 0.986
0.154 0.154 0.264
0.220 0.220 0.605
0.284 0.284 0.895
0.343 0.343 0.227
0.405 0.405 0.517
0.460 0.460 0.844
0.540 0.540 0.156
0.595 0.595 0.483
0.657 0.657 0.773
0.716 0.716 0.105
0.780 0.780 0.395
0.846 0.846 0.736
0.902 0.902 0.014
0.970 0.970 0.353
```

Top 12 peaks for 10 to 90 degrees two-theta, low angle first:
two_theta	Rel. int.
18.4	1000
35.7	144
35.9	267
37.5	113
43.2	284
43.6	558
47.6	134
57.6	102
63.0	151
63.2	224
63.6	77
80.0	70

***

Starting from DFT lattice parameters and positions (GGA+U), the X-ray diffraction stick pattern of Ba2Mg2MnF10 was simulated for Cu Kα X-rays.
No peak broadening, texture or thermal motion is included.

Atomic structure:
```
Ba2Mg2MnF10
1.0
9.410 -3.006 0.000
9.410 3.006 0.000
-2.929 0.000 7.652
Ba Mg Mn F
4 4 2 20
direct
0.117 0.117 0.225
0.216 0.216 0.806
0.784 0.784 0.194
0.883 0.883 0.775
0.245 0.755 0.500
0.323 0.323 0.486
0.677 0.677 0.514
0.755 0.245 0.500
0.425 0.425 0.054
0.575 0.575 0.946
0.000 0.500 0.500
0.016 0.016 0.673
0.097 0.593 0.017
0.137 0.643 0.476
0.262 0.738 0.000
0.266 0.266 0.235
0.357 0.863 0.524
0.363 0.363 0.749
0.407 0.903 0.983
0.479 0.479 0.328
0.500 0.000 0.500
0.521 0.521 0.672
0.593 0.097 0.017
0.637 0.637 0.251
0.643 0.137 0.476
0.734 0.734 0.765
0.738 0.262 0.000
0.863 0.357 0.524
0.903 0.407 0.983
0.984 0.984 0.327
```

Top 12 peaks for 10 to 90 degrees two-theta, low angle first:
two_theta	Rel. int.
21.2	286
21.4	308
26.5	460
26.7	1000
27.2	811
28.5	590
29.7	374
37.6	242
38.1	623
40.2	244
41.6	898
50.8	266

***

Starting from DFT lattice parameters and positions (GGA+U), the X-ray diffraction stick pattern of Cr3Co5O16 was simulated for Cu Kα X-rays.
No peak broadening, texture or thermal motion is included.

Atomic structure:
```
Cr3Co5O16
1.0
4.955 -2.880 0.000
4.955 2.880 0.000
0.000 0.000 8.611
Cr Co O
3 5 16
direct
0.000 0.000 0.000
0.330 0.834 0.502
0.834 0.330 0.502
0.335 0.335 0.513
0.491 0.491 0.786
0.501 0.993 0.007
0.826 0.826 0.281
0.993 0.501 0.007
0.113 0.683 0.141
0.170 0.170 0.115
0.170 0.170 0.617
0.206 0.635 0.644
0.329 0.824 0.905
0.330 0.330 0.902
0.489 0.489 0.394
0.502 0.989 0.402
0.633 0.633 0.643
0.635 0.206 0.644
0.683 0.113 0.141
0.683 0.683 0.138
0.822 0.822 0.897
0.824 0.329 0.905
0.986 0.986 0.408
0.989 0.502 0.402
```

Top 12 peaks for 10 to 90 degrees two-theta, low angle first:
two_theta	Rel. int.
20.6	1000
27.4	233
36.1	233
37.6	303
37.7	309
41.9	198
42.1	78
48.4	205
48.5	105
56.5	89
65.1	147
65.9	146

***

Starting from DFT lattice parameters and positions (GGA+U), the X-ray diffraction stick pattern of Li4CrFe3O8 was simulated for Cu Kα X-rays.
No peak broadening, texture or thermal motion is included.

Atomic structure:
```
Li4CrFe3O8
1.0
5.168 -2.983 0.000
5.168 2.983 0.000
-1.724 0.000 4.897
Li Cr Fe O
4 1 3 8
direct
0.249 0.249 0.998
0.249 0.751 0.000
0.751 0.249 0.000
0.751 0.751 0.002
0.000 0.000 0.500
0.000 0.500 0.500
0.500 0.000 0.500
0.500 0.500 0.500
0.128 0.128 0.273
0.128 0.630 0.272
0.370 0.872 0.728
0.371 0.371 0.729
0.629 0.629 0.271
0.630 0.128 0.272
0.872 0.370 0.728
0.872 0.872 0.727
```

Top 12 peaks for 10 to 90 degrees two-theta, low angle first:
two_theta	Rel. int.
18.1	1000
35.3	428
36.9	130
42.8	813
46.8	144
56.5	141
62.0	219
62.2	225
65.4	144
78.5	101
81.1	49
88.9	57

***

Starting from DFT lattice parameters and positions (GGA+U), the X-ray diffraction stick pattern of BaYMn2O6 was simulated for Cu Kα X-rays.
No peak broadening, texture or thermal motion is included.

Atomic structure:
```
BaYMn2O6
1.0
3.972 -3.901 0.000
3.972 3.901 0.000
-0.071 0.000 7.856
Ba Y Mn O
2 2 4 12
direct
0.247 0.247 0.494
0.753 0.753 0.506
0.231 0.231 0.993
0.769 0.769 0.007
0.251 0.747 0.758
0.253 0.749 0.242
0.747 0.251 0.758
0.749 0.253 0.242
0.032 0.032 0.743
0.033 0.471 0.214
0.194 0.806 0.000
0.269 0.731 0.500
0.466 0.466 0.806
0.471 0.033 0.214
0.529 0.967 0.786
0.534 0.534 0.194
0.731 0.269 0.500
0.806 0.194 0.000
0.967 0.529 0.786
0.968 0.968 0.257
```

Top 12 peaks for 10 to 90 degrees two-theta, low angle first:
two_theta	Rel. int.
31.9	325
32.2	1000
32.3	677
39.6	145
39.8	151
45.7	226
46.2	208
46.6	210
56.9	139
57.3	268
57.6	263
67.3	172

***

Starting from DFT lattice parameters and positions (GGA+U), the X-ray diffraction stick pattern of Li3Cr2P2C2O14 was simulated for Cu Kα X-rays.
No peak broadening, texture or thermal motion is included.

Atomic structure:
```
Li3Cr2P2C2O14
1.0
5.091 0.000 0.000
-0.036 6.382 0.000
-0.748 -0.029 8.268
Li Cr P C O
3 2 2 2 14
direct
0.000 0.000 0.000
0.018 0.289 0.631
0.514 0.775 0.180
0.565 0.990 0.583
0.970 0.487 0.231
0.046 0.993 0.328
0.497 0.493 0.491
0.066 0.494 0.952
0.464 0.994 0.864
0.127 0.468 0.812
0.195 0.469 0.444
0.245 0.523 0.080
0.291 0.017 0.738
0.347 0.970 0.368
0.395 0.972 0.005
0.565 0.687 0.594
0.602 0.302 0.588
0.635 0.513 0.329
0.709 0.992 0.826
0.827 0.490 0.998
0.910 0.013 0.484
0.939 0.808 0.217
0.984 0.183 0.212
```

Top 12 peaks for 10 to 90 degrees two-theta, low angle first:
two_theta	Rel. int.
10.7	934
17.6	457
19.7	525
21.4	709
25.5	181
25.6	184
26.6	385
28.0	1000
32.5	152
35.4	192
36.1	219
46.4	157

***

Starting from DFT lattice parameters and positions (GGA+U), the X-ray diffraction stick pattern of Li9Mn2Co5O16 was simulated for Cu Kα X-rays.
No peak broadening, texture or thermal motion is included.

Atomic structure:
```
Li9Mn2Co5O16
1.0
2.914 0.000 0.000
-0.217 5.107 0.000
-0.787 -0.958 19.429
Li Mn Co O
9 2 5 16
direct
0.000 0.000 0.000
0.049 0.685 0.122
0.099 0.369 0.243
0.236 0.743 0.492
0.363 0.126 0.751
0.486 0.516 0.003
0.613 0.854 0.240
0.733 0.251 0.494
0.865 0.619 0.749
0.549 0.184 0.121
0.799 0.935 0.622
0.171 0.059 0.371
0.299 0.435 0.621
0.427 0.810 0.872
0.673 0.559 0.370
0.926 0.311 0.872
0.041 0.326 0.066
0.058 0.043 0.177
0.132 0.709 0.314
0.215 0.411 0.430
0.250 0.107 0.565
0.349 0.763 0.678
0.383 0.461 0.813
0.466 0.161 0.927
0.516 0.872 0.063
0.583 0.497 0.180
0.633 0.207 0.316
0.717 0.910 0.430
0.738 0.601 0.565
0.860 0.269 0.678
0.884 0.959 0.813
0.966 0.660 0.929
```

Top 12 peaks for 10 to 90 degrees two-theta, low angle first:
two_theta	Rel. int.
18.3	1000
35.2	171
35.7	135
36.9	119
42.3	303
43.4	276
44.7	252
62.0	80
62.5	153
63.5	71
64.0	73
64.6	70

***

Repeat the fourth record exactly.
Starting from DFT lattice parameters and positions (GGA+U), the X-ray diffraction stick pattern of Li4CrFe3O8 was simulated for Cu Kα X-rays.
No peak broadening, texture or thermal motion is included.

Atomic structure:
```
Li4CrFe3O8
1.0
5.168 -2.983 0.000
5.168 2.983 0.000
-1.724 0.000 4.897
Li Cr Fe O
4 1 3 8
direct
0.249 0.249 0.998
0.249 0.751 0.000
0.751 0.249 0.000
0.751 0.751 0.002
0.000 0.000 0.500
0.000 0.500 0.500
0.500 0.000 0.500
0.500 0.500 0.500
0.128 0.128 0.273
0.128 0.630 0.272
0.370 0.872 0.728
0.371 0.371 0.729
0.629 0.629 0.271
0.630 0.128 0.272
0.872 0.370 0.728
0.872 0.872 0.727
```

Top 12 peaks for 10 to 90 degrees two-theta, low angle first:
two_theta	Rel. int.
18.1	1000
35.3	428
36.9	130
42.8	813
46.8	144
56.5	141
62.0	219
62.2	225
65.4	144
78.5	101
81.1	49
88.9	57